No. 1
Starting from a cell relaxed with PBE, the powder diffractogram of Cd3SeF4 was simulated for Cu Kα (λ = 1.5418 Å).
Kinematic intensities with the Lorentz-polarization factor, no thermal factor.

Largest 10 diffraction maxima, by angle, 5 to 70 degrees two-theta:
d_spacing, 2θ (°), Rel. int., (hkl)
3.381, 26.36, 77.3, 3 1 0
3.354, 26.57, 100.0, 1 1 -2
2.856, 31.32, 19.4, 0 2 0
2.097, 43.14, 17.4, 6 0 0
2.071, 43.70, 14.8, 2 0 -4
2.054, 44.10, 43.4, 4 2 -2
2.050, 44.19, 28.1, 2 2 2
1.781, 51.30, 15.1, 7 1 -2
1.769, 51.67, 14.9, 5 1 -4
1.734, 52.78, 16.0, 3 3 0

Atomic structure:
Lattice parameters (Å, degrees): 13.2631 5.7151 8.2857 90.00 108.44 90.00
Space group Cc (No. 9)
Symmetry-distinct sites (fractional):
Cd1 0.0000 0.0036 0.0000 (multiplicity 4)
Cd2 0.2028 0.4665 0.3949 (multiplicity 4)
Cd3 0.3764 0.0101 0.2408 (multiplicity 4)
Se1 0.1878 0.2189 0.1199 (multiplicity 4)
F1 0.0364 0.3386 0.3885 (multiplicity 4)
F2 0.3403 0.3227 0.8585 (multiplicity 4)
F3 0.3726 0.2154 0.5056 (multiplicity 4)
F4 0.4848 0.3166 0.2357 (multiplicity 4)



No. 2
Starting from a cell relaxed with PBE, the powder diffractogram of CdSeF was simulated for Cu Kα (λ = 1.5418 Å).
Kinematic intensities with the Lorentz-polarization factor, no thermal factor.

Largest 10 diffraction maxima, by angle, 5 to 70 degrees two-theta:
d_spacing, 2θ (°), Rel. int., (hkl)
6.681, 13.25, 100.0, 2 0 0
6.301, 14.05, 40.0, 2 0 -1
4.123, 21.55, 20.4, 1 1 0
3.110, 28.71, 55.0, 3 1 -1
2.875, 31.10, 39.6, 3 1 -2
2.667, 33.60, 27.8, 0 0 4
2.312, 38.96, 18.4, 2 0 4
2.167, 41.67, 25.9, 0 2 0
2.147, 42.09, 35.5, 5 1 1
2.098, 43.11, 29.6, 5 1 -3

Atomic structure:
Lattice parameters (Å, degrees): 13.6795 4.3346 10.9221 90.00 102.35 90.00
Space group C2/m (No. 12)
Symmetry-distinct sites (fractional):
Cd1 0.2036 0.0000 0.1137 (multiplicity 4)
Cd2 0.2170 0.5000 0.3962 (multiplicity 4)
Se1 0.0600 0.5000 0.0917 (multiplicity 4)
Se2 0.1858 0.5000 0.6483 (multiplicity 4)
F1 0.0611 0.5000 0.2856 (multiplicity 4)
F2 0.2194 0.0000 0.9154 (multiplicity 4)



No. 3
Starting from a cell relaxed with PBE, the powder diffractogram of Cd3Se2F was simulated for Cu Kα (λ = 1.5418 Å).
Kinematic intensities with the Lorentz-polarization factor, no thermal factor.

Largest 10 diffraction maxima, by angle, 5 to 70 degrees two-theta:
d_spacing, 2θ (°), Rel. int., (hkl)
3.503, 25.42, 92.4, 1 0 1
3.414, 26.10, 100.0, 0 3 1
3.048, 29.30, 13.6, 1 3 0
2.376, 37.86, 15.8, 1 1 2
2.200, 41.03, 27.0, 2 0 0
2.113, 42.79, 22.2, 0 6 0
2.100, 43.08, 72.5, 1 3 2
1.849, 49.28, 33.7, 2 3 1
1.809, 50.43, 27.4, 1 6 1
1.524, 60.78, 14.9, 2 6 0

Atomic structure:
Lattice parameters (Å, degrees): 4.3994 12.6801 5.7925 90.00 90.00 90.00
Space group Imm2 (No. 44)
Symmetry-distinct sites (fractional):
Cd1 0.0000 0.0000 0.0000 (multiplicity 2)
Cd2 0.0000 0.3381 0.0950 (multiplicity 4)
Se1 0.0000 0.1568 0.3317 (multiplicity 4)
F1 0.0000 0.5000 0.3043 (multiplicity 2)



No. 4
Starting from a cell relaxed with PBE, the powder diffractogram of TbCd3F8 was simulated for Cu Kα (λ = 1.5418 Å).
Kinematic intensities with the Lorentz-polarization factor, no thermal factor.

Largest 10 diffraction maxima, by angle, 5 to 70 degrees two-theta:
d_spacing, 2θ (°), Rel. int., (hkl)
5.587, 15.86, 2.9, 1 0 0
3.951, 22.50, 1.8, 1 1 0
3.226, 27.65, 100.0, 1 1 1
2.794, 32.04, 23.7, 2 0 0
2.281, 39.51, 0.8, 2 1 1
1.975, 45.94, 61.5, 2 2 0
1.862, 48.90, 0.7, 2 2 1
1.685, 54.47, 43.9, 3 1 1
1.613, 57.10, 6.8, 2 2 2
1.397, 66.99, 9.0, 4 0 0

Atomic structure:
Lattice parameters (Å, degrees): 5.5875 5.5875 5.5875 90.00 90.00 90.00
Space group Pm-3m (No. 221)
Symmetry-distinct sites (fractional):
Tb1 0.0000 0.0000 0.0000 (multiplicity 1)
Cd1 0.0000 0.5000 0.5000 (multiplicity 3)
F1 0.2408 0.2408 0.2408 (multiplicity 8)



No. 5
Starting from a cell relaxed with PBE, the powder diffractogram of TbTlCdF6 was simulated for Cu Kα (λ = 1.5418 Å).
Kinematic intensities with the Lorentz-polarization factor, no thermal factor.

Largest 10 diffraction maxima, by angle, 5 to 70 degrees two-theta:
d_spacing, 2θ (°), Rel. int., (hkl)
3.863, 23.03, 100.0, 1 0 1
3.071, 29.08, 41.1, 1 1 0
2.404, 37.41, 26.1, 2 0 1
2.073, 43.67, 42.8, 2 -1 2
1.893, 48.07, 27.9, 3 -1 1
1.773, 51.55, 14.9, 3 0 0
1.767, 51.75, 10.4, 1 0 3
1.427, 65.41, 11.8, 3 1 1
1.370, 68.47, 9.6, 2 1 3
1.347, 69.81, 9.7, 2 2 2

Atomic structure:
Lattice parameters (Å, degrees): 6.1412 6.1412 5.6189 90.00 90.00 120.00
Space group P312 (No. 149)
Symmetry-distinct sites (fractional):
Tb1 0.0000 0.0000 0.0000 (multiplicity 1)
Tl1 0.6667 0.3333 0.5000 (multiplicity 1)
Cd1 0.3333 0.6667 0.0000 (multiplicity 1)
F1 0.0415 0.3255 0.2073 (multiplicity 6)



No. 6
Starting from a cell relaxed with PBE, the powder diffractogram of CdTeF6 was simulated for Cu Kα (λ = 1.5418 Å).
Kinematic intensities with the Lorentz-polarization factor, no thermal factor.

Largest 10 diffraction maxima, by angle, 5 to 70 degrees two-theta:
d_spacing, 2θ (°), Rel. int., (hkl)
4.787, 18.53, 20.0, 1 0 0
4.350, 20.42, 57.6, 1 0 1
3.524, 25.27, 100.0, 1 0 2
2.811, 31.84, 13.8, 1 0 3
2.764, 32.39, 26.0, 1 1 0
2.441, 36.81, 10.2, 2 -1 2
2.175, 41.52, 25.4, 2 0 2
1.895, 48.00, 43.4, 2 -1 4
1.709, 53.62, 24.6, 3 -1 2
1.596, 57.78, 15.2, 3 0 0

Atomic structure:
Lattice parameters (Å, degrees): 5.5277 5.5277 10.4165 90.00 90.00 120.00
Space group P-31c (No. 163)
Symmetry-distinct sites (fractional):
Cd1 0.3333 0.6667 0.2500 (multiplicity 2)
Te1 0.0000 0.0000 0.0000 (multiplicity 2)
F1 0.0306 0.3205 0.1179 (multiplicity 12)



No. 7
Starting from a cell relaxed with PBE, the powder diffractogram of CdTe2F was simulated for Cu Kα (λ = 1.5418 Å).
Kinematic intensities with the Lorentz-polarization factor, no thermal factor.

Largest 10 diffraction maxima, by angle, 5 to 70 degrees two-theta:
d_spacing, 2θ (°), Rel. int., (hkl)
3.387, 26.31, 78.1, 1 0 1
3.294, 27.07, 83.0, 1 1 -1
3.138, 28.44, 100.0, 0 2 2
2.632, 34.06, 38.1, 0 1 -2
2.328, 38.68, 21.0, -1 2 1
2.316, 38.89, 31.9, 1 3 1
2.277, 39.59, 31.9, 1 2 3
2.232, 40.42, 31.6, -1 1 3
2.160, 41.82, 22.4, 2 1 0
1.789, 51.06, 19.9, 2 3 2

Atomic structure:
Lattice parameters (Å, degrees): 4.3218 7.2516 8.0095 64.24 88.53 72.80
Space group P1 (No. 1)
Symmetry-distinct sites (fractional):
Cd1 0.0000 0.0000 0.0000 (multiplicity 1)
Cd2 0.3397 0.3571 0.6082 (multiplicity 1)
Te1 0.0530 0.7224 0.8021 (multiplicity 1)
Te2 0.4376 0.9892 0.5277 (multiplicity 1)
Te3 0.5087 0.6913 0.2982 (multiplicity 1)
Te4 0.6693 0.4528 0.0861 (multiplicity 1)
F1 0.4506 0.1331 0.9317 (multiplicity 1)
F2 0.8629 0.3210 0.7250 (multiplicity 1)



No. 8
Starting from a cell relaxed with PBE, the powder diffractogram of TiCdF6 was simulated for Cu Kα (λ = 1.5418 Å).
Kinematic intensities with the Lorentz-polarization factor, no thermal factor.

Largest 10 diffraction maxima, by angle, 5 to 70 degrees two-theta:
d_spacing, 2θ (°), Rel. int., (hkl)
4.169, 21.31, 100.0, 1 0 1
3.362, 26.52, 63.5, 1 0 2
2.672, 33.54, 24.6, 1 0 3
2.657, 33.74, 16.6, 1 1 0
2.338, 38.51, 27.5, 1 1 2
1.884, 48.31, 14.0, 2 0 3
1.806, 50.55, 37.8, 2 -1 4
1.713, 53.50, 15.4, 2 1 1
1.640, 56.08, 16.2, 3 -1 2
1.534, 60.35, 13.6, 3 0 0

Atomic structure:
Lattice parameters (Å, degrees): 5.3133 5.3133 9.8454 90.00 90.00 120.00
Space group P-31c (No. 163)
Symmetry-distinct sites (fractional):
Ti1 0.0000 0.0000 0.0000 (multiplicity 2)
Cd1 0.3333 0.6667 0.2500 (multiplicity 2)
F1 0.0257 0.3023 0.1115 (multiplicity 12)



No. 9
Starting from a cell relaxed with PBE, the powder diffractogram of Ti2CdF11 was simulated for Cu Kα (λ = 1.5418 Å).
Kinematic intensities with the Lorentz-polarization factor, no thermal factor.

Largest 10 diffraction maxima, by angle, 5 to 70 degrees two-theta:
d_spacing, 2θ (°), Rel. int., (hkl)
6.259, 14.15, 34.5, 1 1 0
3.959, 22.46, 100.0, 1 1 2
3.713, 23.97, 21.0, 1 2 1
3.670, 24.25, 17.7, 2 1 1
3.367, 26.47, 29.9, 0 2 2
3.324, 26.82, 31.1, 2 0 2
1.979, 45.85, 37.5, 2 2 4
1.932, 47.05, 28.6, 3 3 2
1.895, 48.01, 13.4, 1 3 4
1.880, 48.43, 14.9, 3 1 4

Atomic structure:
Lattice parameters (Å, degrees): 8.7541 8.9522 10.2212 90.00 90.00 90.00
Space group Ibam (No. 72)
Symmetry-distinct sites (fractional):
Ti1 0.1619 0.1556 0.0000 (multiplicity 8)
Cd1 0.0000 0.5000 0.2500 (multiplicity 4)
F1 0.0000 0.0000 0.0000 (multiplicity 4)
F2 0.0616 0.2717 0.1298 (multiplicity 16)
F3 0.1929 0.1976 0.5000 (multiplicity 8)
F4 0.2227 0.4420 0.3705 (multiplicity 16)



No. 10
Starting from a cell relaxed with PBE, the powder diffractogram of TlCdF4 was simulated for Cu Kα (λ = 1.5418 Å).
Kinematic intensities with the Lorentz-polarization factor, no thermal factor.

Largest 10 diffraction maxima, by angle, 5 to 70 degrees two-theta:
d_spacing, 2θ (°), Rel. int., (hkl)
5.060, 17.53, 8.7, 1 1 1
3.266, 27.30, 100.0, 2 0 2
2.829, 31.63, 28.4, 2 2 0
2.001, 45.32, 48.4, 2 2 4
1.997, 45.42, 9.6, 4 0 0
1.707, 53.71, 30.8, 2 4 2
1.704, 53.79, 15.3, 4 2 2
1.635, 56.26, 4.1, 0 4 4
1.631, 56.40, 4.1, 4 0 4
1.414, 66.06, 8.8, 0 0 8

Atomic structure:
Lattice parameters (Å, degrees): 7.9875 8.0141 11.3160 90.00 90.00 90.00
Space group Fddd (No. 70, origin choice 2)
Symmetry-distinct sites (fractional):
Tl1 0.1250 0.1250 0.1250 (multiplicity 8)
Cd1 0.1250 0.1250 0.6250 (multiplicity 8)
F1 0.1192 0.3696 0.7498 (multiplicity 32)



No. 11
Starting from a cell relaxed with PBE, the powder diffractogram of TlCd2F4 was simulated for Cu Kα (λ = 1.5418 Å).
Kinematic intensities with the Lorentz-polarization factor, no thermal factor.

Largest 10 diffraction maxima, by angle, 5 to 70 degrees two-theta:
d_spacing, 2θ (°), Rel. int., (hkl)
5.620, 15.77, 35.1, 1 0 1
3.613, 24.64, 19.8, 1 1 2
3.285, 27.15, 100.0, 1 2 1
3.153, 28.31, 48.1, 0 2 2
3.004, 29.74, 54.1, 1 0 3
2.985, 29.93, 42.5, 2 1 1
2.599, 34.51, 26.3, 2 2 0
2.066, 43.82, 22.6, 2 3 1
1.936, 46.93, 19.8, 3 2 1
1.807, 50.52, 53.2, 2 2 4

Atomic structure:
Lattice parameters (Å, degrees): 6.7788 8.0959 10.0526 90.00 90.00 90.00
Space group Imma (No. 74)
Symmetry-distinct sites (fractional):
Tl1 0.0000 0.0000 0.0000 (multiplicity 4)
Cd1 0.0000 0.2500 0.3511 (multiplicity 4)
Cd2 0.2500 0.2500 0.7500 (multiplicity 4)
F1 0.0000 0.0592 0.7346 (multiplicity 8)
F2 0.2295 0.2500 0.5215 (multiplicity 8)



No. 12
Starting from a cell relaxed with PBE, the powder diffractogram of Tl2ZnCdF6 was simulated for Cu Kα (λ = 1.5418 Å).
Kinematic intensities with the Lorentz-polarization factor, no thermal factor.

Largest 10 diffraction maxima, by angle, 5 to 70 degrees two-theta:
d_spacing, 2θ (°), Rel. int., (hkl)
4.381, 20.27, 11.4, 1 0 0
3.098, 28.82, 52.3, 1 1 0
3.073, 29.06, 100.0, 1 0 2
2.516, 35.69, 20.9, 1 1 2
2.191, 41.21, 33.2, 2 0 0
2.156, 41.91, 14.2, 0 0 4
1.784, 51.21, 42.6, 2 1 2
1.769, 51.66, 18.6, 1 1 4
1.549, 59.69, 10.6, 2 2 0
1.537, 60.23, 18.6, 2 0 4

Atomic structure:
Lattice parameters (Å, degrees): 4.3815 4.3815 8.6225 90.00 90.00 90.00
Space group P4/mmm (No. 123)
Symmetry-distinct sites (fractional):
Tl1 0.0000 0.0000 0.2343 (multiplicity 2)
Zn1 0.5000 0.5000 0.0000 (multiplicity 1)
Cd1 0.5000 0.5000 0.5000 (multiplicity 1)
F1 0.0000 0.5000 0.0000 (multiplicity 2)
F2 0.0000 0.5000 0.5000 (multiplicity 2)
F3 0.5000 0.5000 0.2299 (multiplicity 2)



No. 13
Starting from a cell relaxed with PBE, the powder diffractogram of Tl3Zn2CdF9 was simulated for Cu Kα (λ = 1.5418 Å).
Kinematic intensities with the Lorentz-polarization factor, no thermal factor.

Largest 10 diffraction maxima, by angle, 5 to 70 degrees two-theta:
d_spacing, 2θ (°), Rel. int., (hkl)
4.292, 20.70, 28.0, 1 0 1
3.041, 29.37, 100.0, 0 1 2
3.028, 29.50, 98.7, 1 1 0
2.474, 36.31, 24.4, 0 2 1
2.146, 42.11, 62.8, 2 0 2
1.758, 52.02, 20.6, 1 0 4
1.750, 52.27, 61.5, 3 0 0
1.520, 60.93, 19.6, 0 2 4
1.514, 61.21, 19.7, 2 2 0
1.355, 69.33, 18.0, 3 1 2

Atomic structure:
Lattice parameters (Å, degrees): 6.0568 6.0568 7.4638 90.00 90.00 120.00
Space group P-3m1 (No. 164)
Symmetry-distinct sites (fractional):
Tl1 0.0000 0.0000 0.0000 (multiplicity 1)
Tl2 0.3333 0.6667 0.6715 (multiplicity 2)
Zn1 0.3333 0.6667 0.1577 (multiplicity 2)
Cd1 0.0000 0.0000 0.5000 (multiplicity 1)
F1 0.0000 0.5000 0.0000 (multiplicity 3)
F2 0.1734 0.3469 0.3194 (multiplicity 6)